[1]
Diffraction record for NaVBP2H3O10. The PXRD pattern is computed, not measured: it uses a cell relaxed with GGA+U and copper Kα.
Peak positions follow from Bragg's law for the DFT cell and can differ from measured ones.

The 10 most intense peaks (2θ = 15–90°), low angle first:
18.76 deg, rel. 56
20.01 deg, rel. 14
21.88 deg, rel. 36
27.29 deg, rel. 44
27.62 deg, rel. 11
28.94 deg, rel. 18
30.23 deg, rel. 100
31.15 deg, rel. 18
33.28 deg, rel. 14
41.53 deg, rel. 16

Structural model:
a = 6.730 Å, b = 6.730 Å, c = 9.281 Å
α = 110.00°, β = 110.00°, γ = 77.19°
Sites, in units of the cell vectors:
Na: 0.130 0.870 0.750
Na: 0.870 0.130 0.250
V: 0.000 0.500 0.000
V: 0.500 0.000 0.500
B: 0.472 0.528 0.250
B: 0.528 0.472 0.750
P: 0.155 0.292 0.677
P: 0.292 0.155 0.177
P: 0.708 0.845 0.823
P: 0.845 0.708 0.323
H: 0.000 0.500 0.500
H: 0.313 0.660 0.424
H: 0.340 0.687 0.076
H: 0.500 0.000 0.000
H: 0.660 0.313 0.924
H: 0.687 0.340 0.576
O: 0.033 0.638 0.458
O: 0.071 0.270 0.112
O: 0.071 0.279 0.807
O: 0.270 0.071 0.612
O: 0.279 0.071 0.307
O: 0.310 0.468 0.750
O: 0.315 0.567 0.102
O: 0.362 0.967 0.042
O: 0.433 0.685 0.398
O: 0.468 0.310 0.250
O: 0.532 0.690 0.750
O: 0.567 0.315 0.602
O: 0.638 0.033 0.958
O: 0.685 0.433 0.898
O: 0.690 0.532 0.250
O: 0.721 0.929 0.693
O: 0.730 0.929 0.388
O: 0.929 0.721 0.193
O: 0.929 0.730 0.888
O: 0.967 0.362 0.542


[2]
Diffraction record for RbVBP2HO9. The PXRD pattern is computed, not measured: it uses a cell relaxed with GGA+U and copper Kα.
Peak positions follow from Bragg's law for the DFT cell and can differ from measured ones.

The 10 most intense peaks (2θ = 15–90°), low angle first:
18.90 deg, rel. 34
19.05 deg, rel. 20
21.28 deg, rel. 20
23.06 deg, rel. 25
23.59 deg, rel. 35
25.65 deg, rel. 100
28.70 deg, rel. 20
29.46 deg, rel. 75
30.18 deg, rel. 33
31.29 deg, rel. 53

Structural model:
a = 9.539 Å, b = 8.472 Å, c = 9.825 Å
α = 90.00°, β = 102.41°, γ = 90.00°
Sites, in units of the cell vectors:
Rb: 0.189 0.101 0.062
Rb: 0.189 0.399 0.562
Rb: 0.811 0.601 0.438
Rb: 0.811 0.899 0.938
V: 0.208 0.652 0.935
V: 0.208 0.848 0.435
V: 0.792 0.152 0.565
V: 0.792 0.348 0.065
B: 0.334 0.057 0.696
B: 0.334 0.443 0.196
B: 0.666 0.557 0.804
B: 0.666 0.943 0.304
P: 0.075 0.565 0.209
P: 0.075 0.935 0.709
P: 0.422 0.740 0.718
P: 0.422 0.760 0.218
P: 0.578 0.240 0.782
P: 0.578 0.260 0.282
P: 0.925 0.065 0.291
P: 0.925 0.435 0.791
H: 0.392 0.084 0.502
H: 0.392 0.416 0.002
H: 0.608 0.584 0.998
H: 0.608 0.916 0.498
O: 0.073 0.513 0.805
O: 0.073 0.987 0.305
O: 0.087 0.667 0.083
O: 0.087 0.833 0.583
O: 0.103 0.656 0.348
O: 0.103 0.844 0.848
O: 0.191 0.074 0.728
O: 0.191 0.426 0.228
O: 0.310 0.050 0.539
O: 0.310 0.450 0.039
O: 0.347 0.630 0.804
O: 0.347 0.870 0.304
O: 0.366 0.720 0.561
O: 0.366 0.780 0.061
O: 0.412 0.204 0.745
O: 0.412 0.296 0.245
O: 0.413 0.583 0.262
O: 0.413 0.917 0.762
O: 0.587 0.083 0.238
O: 0.587 0.417 0.738
O: 0.588 0.704 0.755
O: 0.588 0.796 0.255
O: 0.634 0.220 0.939
O: 0.634 0.280 0.439
O: 0.653 0.130 0.696
O: 0.653 0.370 0.196
O: 0.690 0.550 0.961
O: 0.690 0.950 0.461
O: 0.809 0.574 0.772
O: 0.809 0.926 0.272
O: 0.897 0.156 0.152
O: 0.897 0.344 0.652
O: 0.913 0.167 0.417
O: 0.913 0.333 0.917
O: 0.927 0.013 0.695
O: 0.927 0.487 0.195